# 1
Starting from a DFT-relaxed cell (GGA-PBE, the Materials Project), the PXRD pattern of Ba3Eu was computed for Cu Kα.
Lines closer than 0.1° are merged.

Cell and atoms:
```
Ba3Eu
1.0
0.000 4.917 4.917
4.917 0.000 4.917
4.917 4.917 0.000
Ba Eu
3 1
direct
0.000 0.000 0.000
0.250 0.250 0.250
0.750 0.750 0.750
0.500 0.500 0.500
```

Principal peaks in the range 2θ from 10° to 90°, by angle:
2θ/deg  intensity
25.62  100.0
36.55  19.7
45.17  43.0
52.65  13.7
59.45  19.0
71.85  21.9
83.40  11.2
89.05  6.5

# 2
Starting from a DFT-relaxed cell (GGA-PBE, the Materials Project), the PXRD pattern of BaEuGe4O12 was computed for Cu Kα.
Lines closer than 0.1° are merged.

Cell and atoms:
```
BaEuGe4O12
1.0
6.261 0.000 0.000
0.000 6.261 0.000
0.000 0.000 8.824
Ba Eu Ge O
1 1 4 12
direct
0.000 0.000 0.000
0.500 0.500 0.500
0.000 0.500 0.250
0.000 0.500 0.750
0.500 0.000 0.250
0.500 0.000 0.750
0.000 0.500 0.000
0.000 0.500 0.500
0.262 0.262 0.265
0.262 0.262 0.735
0.262 0.738 0.265
0.262 0.738 0.735
0.500 0.000 0.000
0.500 0.000 0.500
0.738 0.262 0.265
0.738 0.262 0.735
0.738 0.738 0.265
0.738 0.738 0.735
```

Principal peaks in the range 2θ from 10° to 90°, by angle:
2θ/deg  intensity
17.37  66.8
28.55  100.0
33.61  39.1
40.76  28.6
44.66  17.9
50.56  43.0
59.13  17.2
81.38  15.0

# 3
Starting from a DFT-relaxed cell (GGA-PBE, the Materials Project), the PXRD pattern of BaEuHfZrO6 was computed for Cu Kα.
Lines closer than 0.1° are merged.

Cell and atoms:
```
BaEuHfZrO6
1.0
0.000 4.197 4.197
4.197 0.000 4.197
4.197 4.197 0.000
Ba Eu Hf Zr O
1 1 1 1 6
direct
0.000 0.000 0.000
0.500 0.500 0.500
0.750 0.750 0.750
0.250 0.250 0.250
0.502 0.502 0.998
0.502 0.998 0.502
0.502 0.998 0.998
0.998 0.502 0.502
0.998 0.502 0.998
0.998 0.998 0.502
```

Principal peaks in the range 2θ from 10° to 90°, by angle:
2θ/deg  intensity
18.30  5.7
30.11  100.0
43.10  29.1
53.47  40.7
62.60  18.2
71.01  17.7
79.02  6.1
86.82  21.6